Simulated powder X-ray diffraction pattern
Compound: NaAcSn2I8
Radiation: copper Kα
Structure: a DFT-relaxed cell (GGA-PBE, Alexandria)

Cell and atoms:
Lattice parameters (Å, degrees): 7.385 9.502 7.857 90.00 91.10 90.00
Fractional coordinates of all 12 atoms:
Na1 0.000 0.000 0.000
Ac1 0.000 0.500 0.000
Sn1 0.500 0.237 0.500
Sn2 0.500 0.763 0.500
I1 0.249 0.245 0.159
I2 0.249 0.755 0.159
I3 0.252 0.500 0.659
I4 0.264 0.000 0.650
I5 0.736 0.000 0.350
I6 0.748 0.500 0.341
I7 0.751 0.245 0.841
I8 0.751 0.755 0.841

Peak list (10 most intense, 5° ≤ 2θ ≤ 70°, by angle)
Position (°2θ)  I/Imax
16.3  48.5
16.6  43.6
24.9  93.8
25.1  100.0
25.5  57.6
25.9  57.6
32.6  80.3
32.9  94.5
37.9  51.6
39.3  93.2